Computed powder X-ray diffraction pattern of SmAg3Pd2 for Cu Kα (weighted mean of Kα1 and Kα2), from DFT lattice parameters and positions (GGA-PBE).
Intensities are scaled so that the largest is 100.

Top 10 peaks for 10 to 90 degrees two-theta, sorted by position:
2θ = 34.23°, d 2.620, I = 51, (1 1 -3); 2θ = 35.08°, d 2.558, I = 47, (1 3 0); 2θ = 35.39°, d 2.536, I = 93, (2 2 -1); 2θ = 36.06°, d 2.491, I = 18, (1 3 -1); 2θ = 37.32°, d 2.410, I = 100, (2 0 2); 2θ = 38.33°, d 2.348, I = 72, (0 2 3); 2θ = 38.82°, d 2.320, I = 15, (2 2 -2); 2θ = 42.29°, d 2.137, I = 30, (1 3 2); 2θ = 43.00°, d 2.103, I = 27, (3 1 -1); 2θ = 64.12°, d 1.452, I = 16, (4 2 1)

Structural model:
Lattice parameters (Å, degrees): 6.555 8.351 8.618 90.00 98.69 90.00
Space group C2/c (No. 15)
Inequivalent atoms, fractional coordinates:
Sm 0.000 0.144 0.250 (multiplicity 4)
Ag 0.000 0.456 0.750 (multiplicity 4)
Ag 0.212 0.406 0.039 (multiplicity 8)
Pd 0.135 0.172 0.621 (multiplicity 8)

---

Computed powder X-ray diffraction pattern of Sm2AgPd5 for Cu Kα (weighted mean of Kα1 and Kα2), from DFT lattice parameters and positions (GGA-PBE).
Intensities are scaled so that the largest is 100.

Top 10 peaks for 10 to 90 degrees two-theta, sorted by position:
2θ = 20.85°, d 4.261, I = 1, (1 1 0); 2θ = 30.36°, d 2.945, I = 1, (1 1 2); 2θ = 37.11°, d 2.422, I = 100, (2 0 2); 2θ = 42.43°, d 2.130, I = 34, (2 2 0); 2θ = 44.48°, d 2.037, I = 15, (0 0 4); 2θ = 61.56°, d 1.506, I = 11, (4 0 0); 2θ = 63.15°, d 1.472, I = 21, (2 2 4); 2θ = 74.12°, d 1.279, I = 26, (4 2 2); 2θ = 77.03°, d 1.238, I = 11, (2 0 6); 2θ = 79.06°, d 1.211, I = 11, (4 0 4)

Structural model:
Lattice parameters (Å, degrees): 6.025 6.025 8.148 90.00 90.00 90.00
Space group I4/mmm (No. 139)
Inequivalent atoms, fractional coordinates:
Sm 0.000 0.500 0.000 (multiplicity 4)
Ag 0.000 0.000 0.000 (multiplicity 2)
Pd 0.000 0.000 0.500 (multiplicity 2)
Pd 0.250 0.250 0.250 (multiplicity 8)

---

Computed powder X-ray diffraction pattern of AgSnPd6 for Cu Kα (weighted mean of Kα1 and Kα2), from DFT lattice parameters and positions (GGA-PBE).
Intensities are scaled so that the largest is 100.

Top 8 peaks for 10 to 90 degrees two-theta, sorted by position:
2θ = 38.83°, d 2.319, I = 100, (1 1 2); 2θ = 44.66°, d 2.029, I = 33, (2 0 0); 2θ = 46.08°, d 1.970, I = 15, (0 0 4); 2θ = 65.00°, d 1.435, I = 11, (2 2 0); 2θ = 66.11°, d 1.413, I = 20, (2 0 4); 2θ = 78.37°, d 1.220, I = 25, (3 1 2); 2θ = 80.43°, d 1.194, I = 12, (1 1 6); 2θ = 83.33°, d 1.160, I = 11, (2 2 4)

Structural model:
Lattice parameters (Å, degrees): 4.058 4.058 7.879 90.00 90.00 90.00
Space group P4/mmm (No. 123)
Inequivalent atoms, fractional coordinates:
Ag 0.000 0.000 0.000 (multiplicity 1)
Sn 0.000 0.000 0.500 (multiplicity 1)
Pd 0.000 0.500 0.252 (multiplicity 4)
Pd 0.500 0.500 0.000 (multiplicity 1)
Pd 0.500 0.500 0.500 (multiplicity 1)

---

Computed powder X-ray diffraction pattern of Ag2Sn2Pd5 for Cu Kα (weighted mean of Kα1 and Kα2), from DFT lattice parameters and positions (GGA-PBE).
Intensities are scaled so that the largest is 100.

Top 10 peaks for 10 to 90 degrees two-theta, sorted by position:
2θ = 38.64°, d 2.330, I = 100, (0 1 3); 2θ = 39.01°, d 2.309, I = 49, (0 2 0); 2θ = 39.48°, d 2.283, I = 41, (6 0 2); 2θ = 39.60°, d 2.276, I = 84, (6 1 1); 2θ = 56.33°, d 1.633, I = 15, (6 0 4); 2θ = 56.71°, d 1.623, I = 28, (6 2 2); 2θ = 70.41°, d 1.337, I = 31, (0 3 3); 2θ = 70.65°, d 1.333, I = 15, (6 2 4); 2θ = 71.06°, d 1.327, I = 15, (6 3 1); 2θ = 80.87°, d 1.189, I = 23, (12 1 3)

Structural model:
Lattice parameters (Å, degrees): 16.582 4.617 8.098 90.00 90.00 90.00
Space group Ima2 (No. 46)
Inequivalent atoms, fractional coordinates:
Ag 0.087 0.001 0.000 (multiplicity 8)
Sn 0.000 0.000 0.333 (multiplicity 4)
Sn 0.250 0.001 0.668 (multiplicity 4)
Pd 0.084 0.501 0.169 (multiplicity 8)
Pd 0.165 0.000 0.334 (multiplicity 8)
Pd 0.250 0.501 0.500 (multiplicity 4)

---

Computed powder X-ray diffraction pattern of Ag2SnPd6 for Cu Kα (weighted mean of Kα1 and Kα2), from DFT lattice parameters and positions (GGA-PBE).
Intensities are scaled so that the largest is 100.

Top 10 peaks for 10 to 90 degrees two-theta, sorted by position:
2θ = 33.77°, d 2.654, I = 53, (1 1 1); 2θ = 38.50°, d 2.338, I = 60, (6 0 0); 2θ = 40.45°, d 2.230, I = 100, (3 3 0); 2θ = 41.27°, d 2.188, I = 59, (2 2 -1); 2θ = 46.60°, d 1.949, I = 15, (5 1 -1); 2θ = 46.72°, d 1.944, I = 15, (5 1 1); 2θ = 47.22°, d 1.925, I = 28, (4 2 1); 2θ = 70.20°, d 1.341, I = 14, (1 5 1); 2θ = 78.84°, d 1.214, I = 25, (3 3 -2); 2θ = 78.96°, d 1.213, I = 14, (3 3 2)

Structural model:
Lattice parameters (Å, degrees): 14.027 7.611 2.892 90.00 90.14 90.00
Space group C2/m (No. 12)
Inequivalent atoms, fractional coordinates:
Ag 0.185 0.000 0.499 (multiplicity 4)
Sn 0.000 0.500 0.000 (multiplicity 2)
Pd 0.000 0.184 0.500 (multiplicity 4)
Pd 0.161 0.318 0.000 (multiplicity 8)

---

Computed powder X-ray diffraction pattern of ZnAgSn2Pd for Cu Kα (weighted mean of Kα1 and Kα2), from DFT lattice parameters and positions (GGA-PBE).
Intensities are scaled so that the largest is 100.

Top 10 peaks for 10 to 90 degrees two-theta, sorted by position:
2θ = 28.11°, d 3.174, I = 39, (0 0 5); 2θ = 29.50°, d 3.028, I = 72, (1 0 3); 2θ = 34.34°, d 2.611, I = 93, (1 1 0); 2θ = 34.82°, d 2.577, I = 30, (1 1 1); 2θ = 38.44°, d 2.342, I = 35, (1 1 3); 2θ = 41.39°, d 2.181, I = 37, (1 1 4); 2θ = 42.02°, d 2.150, I = 100, (1 0 6); 2θ = 49.02°, d 1.858, I = 29, (1 1 6); 2θ = 49.35°, d 1.847, I = 62, (2 0 0); 2θ = 66.77°, d 1.401, I = 50, (2 1 6)

Structural model:
Lattice parameters (Å, degrees): 3.693 3.693 15.870 90.00 90.00 90.00
Space group P4/nmm (No. 129, origin choice 2)
Inequivalent atoms, fractional coordinates:
Zn 0.250 0.750 0.000 (multiplicity 2)
Ag 0.250 0.250 0.129 (multiplicity 2)
Sn 0.250 0.250 0.430 (multiplicity 2)
Sn 0.250 0.250 0.782 (multiplicity 2)
Pd 0.250 0.250 0.613 (multiplicity 2)